[1]
Computed powder XRD pattern
Compound: Li6GaAg
Radiation: λ = 1.5418 Å (Cu Kα)
Structure: a PBE-relaxed structure
Intensities are scaled so that the largest is 100.

Atomic structure:
```
Li6GaAg
1.0
4.711 0.000 0.000
0.000 5.724 0.000
0.000 0.000 9.903
Li Ga Ag
12 2 2
Cartesian
0.000 0.000 0.000 Li
0.000 1.371 7.532 Li
0.000 1.491 2.581 Li
0.000 2.862 4.951 Li
0.000 4.233 2.581 Li
0.000 4.353 7.532 Li
2.356 0.000 3.402 Li
2.356 1.400 5.822 Li
2.356 1.462 0.871 Li
2.356 2.862 8.354 Li
2.356 4.263 0.871 Li
2.356 4.324 5.822 Li
2.356 0.000 8.316 Ga
2.356 2.862 3.365 Ga
0.000 0.000 5.022 Ag
0.000 2.862 0.070 Ag
```

The 10 most intense peaks (10° ≤ 2θ ≤ 90°), sorted by position:
d/Å, 2θ (°), I/Imax
4.954, 17.90, 48
3.414, 26.10, 100
2.860, 31.27, 42
2.477, 36.27, 12
2.356, 38.20, 12
2.193, 41.17, 44
2.127, 42.49, 10
1.818, 50.17, 21
1.740, 52.59, 28
1.319, 71.52, 11

[2]
Computed powder XRD pattern
Compound: Li12Ga2Ag
Radiation: λ = 1.5418 Å (Cu Kα)
Structure: a PBE-relaxed structure
Intensities are scaled so that the largest is 100.

Atomic structure:
```
Li12Ga2Ag
1.0
2.815 0.000 0.000
0.000 4.822 0.000
0.000 0.000 19.074
Li Ga Ag
12 2 1
Cartesian
0.000 0.000 1.358 Li
0.000 0.000 17.716 Li
0.000 1.155 9.537 Li
0.000 3.667 9.537 Li
1.408 0.000 4.088 Li
1.408 0.000 6.653 Li
1.408 0.000 12.421 Li
1.408 0.000 14.986 Li
1.408 2.411 2.573 Li
1.408 2.411 7.336 Li
1.408 2.411 11.738 Li
1.408 2.411 16.501 Li
0.000 2.411 5.008 Ga
0.000 2.411 14.066 Ga
0.000 2.411 0.000 Ag
```

The 10 most intense peaks (10° ≤ 2θ ≤ 90°), sorted by position:
d/Å, 2θ (°), I/Imax
6.358, 13.93, 59
4.822, 18.40, 100
4.769, 18.61, 90
4.675, 18.98, 27
3.842, 23.15, 37
3.391, 26.28, 76
2.431, 36.98, 35
2.424, 37.09, 44
2.411, 37.29, 33
2.166, 41.70, 58

[3]
Computed powder XRD pattern
Compound: Li3Ga5Ag4
Radiation: λ = 1.5418 Å (Cu Kα)
Structure: a PBE-relaxed structure
Intensities are scaled so that the largest is 100.

Atomic structure:
```
Li3Ga5Ag4
1.0
6.598 -2.324 0.000
6.598 2.324 0.000
-5.443 0.000 6.853
Li Ga Ag
3 5 4
Cartesian
0.000 0.000 0.000 Li
-0.723 0.000 4.890 Li
8.477 0.000 1.962 Li
-3.313 0.000 5.165 Ga
0.393 0.000 2.426 Ga
6.598 0.000 0.000 Ga
7.361 0.000 4.426 Ga
11.067 0.000 1.688 Ga
3.025 0.000 0.901 Ag
2.542 0.000 3.882 Ag
5.212 0.000 2.971 Ag
4.729 0.000 5.951 Ag
```

The 10 most intense peaks (10° ≤ 2θ ≤ 90°), sorted by position:
d/Å, 2θ (°), I/Imax
4.369, 20.32, 41
4.103, 21.66, 57
3.175, 28.10, 33
2.843, 31.47, 34
2.468, 36.40, 88
2.384, 37.74, 85
2.324, 38.75, 100
2.295, 39.26, 43
2.211, 40.81, 66
2.162, 41.77, 90

[4]
Computed powder XRD pattern
Compound: Li3Ga3Ag2
Radiation: λ = 1.5418 Å (Cu Kα)
Structure: a PBE-relaxed structure
Intensities are scaled so that the largest is 100.

Atomic structure:
```
Li3Ga3Ag2
1.0
3.472 2.005 3.139
-3.472 2.005 3.139
0.000 -4.010 3.139
Li Ga Ag
3 3 2
Cartesian
-0.864 -2.512 3.139 Li
-1.743 2.005 3.139 Li
2.608 0.508 3.139 Li
-1.670 0.000 4.708 Ga
0.835 -1.446 4.708 Ga
0.835 1.446 4.708 Ga
0.000 0.000 2.292 Ag
0.000 0.000 7.124 Ag
```

The 10 most intense peaks (10° ≤ 2θ ≤ 90°), sorted by position:
d/Å, 2θ (°), I/Imax
3.707, 24.01, 42
3.472, 25.65, 77
3.139, 28.44, 26
2.534, 35.42, 74
2.328, 38.67, 29
2.210, 40.84, 37
2.192, 41.18, 50
2.047, 44.25, 100
2.005, 45.23, 30
1.430, 65.24, 25

[5]
Computed powder XRD pattern
Compound: Li3Ga2Ag6
Radiation: λ = 1.5418 Å (Cu Kα)
Structure: a PBE-relaxed structure
Intensities are scaled so that the largest is 100.

Atomic structure:
```
Li3Ga2Ag6
1.0
4.595 0.000 0.000
-0.127 5.267 0.000
-1.819 -0.320 7.474
Li Ga Ag
3 2 6
Cartesian
0.000 0.000 0.000 Li
0.183 3.159 4.123 Li
2.467 1.788 3.351 Li
0.321 0.714 5.469 Ga
2.329 4.233 2.005 Ga
0.018 2.886 1.446 Ag
0.173 0.340 2.771 Ag
0.345 3.598 6.780 Ag
2.305 1.349 0.694 Ag
2.477 4.606 4.703 Ag
2.632 2.061 6.028 Ag
```

The 10 most intense peaks (10° ≤ 2θ ≤ 90°), sorted by position:
d/Å, 2θ (°), I/Imax
4.392, 20.22, 18
4.219, 21.06, 17
3.485, 25.56, 18
3.347, 26.63, 17
2.300, 39.16, 50
2.291, 39.32, 100
2.273, 39.66, 48
2.238, 40.30, 47
2.190, 41.21, 43
1.677, 54.72, 18

[6]
Computed powder XRD pattern
Compound: Li2Ga2Ag5
Radiation: λ = 1.5418 Å (Cu Kα)
Structure: a PBE-relaxed structure
Intensities are scaled so that the largest is 100.

Atomic structure:
```
Li2Ga2Ag5
1.0
6.223 -4.319 0.000
6.223 4.319 0.000
-0.030 0.000 5.968
Li Ga Ag
4 4 10
Cartesian
6.208 2.293 2.984 Li
9.284 2.183 1.505 Li
6.223 -2.293 0.000 Li
9.269 -2.183 4.489 Li
3.223 2.174 1.500 Ga
6.252 2.328 0.035 Ga
3.208 -2.174 4.484 Ga
6.237 -2.328 3.019 Ga
1.420 0.108 1.435 Ag
1.405 -0.108 4.419 Ag
3.876 0.010 2.974 Ag
3.861 -0.010 5.958 Ag
6.258 0.004 4.492 Ag
6.273 -0.004 1.508 Ag
8.646 0.007 3.022 Ag
8.661 -0.007 0.039 Ag
11.111 0.008 1.584 Ag
11.096 -0.008 4.568 Ag
```

The 10 most intense peaks (10° ≤ 2θ ≤ 90°), sorted by position:
d/Å, 2θ (°), I/Imax
4.561, 19.46, 27
4.319, 20.56, 100
2.392, 37.60, 72
2.338, 38.51, 52
2.327, 38.69, 37
2.287, 39.40, 42
2.280, 39.52, 59
2.160, 41.83, 48
1.883, 48.33, 39
1.856, 49.08, 21

[7]
Computed powder XRD pattern
Compound: Li4Ga12Ag3
Radiation: λ = 1.5418 Å (Cu Kα)
Structure: a PBE-relaxed structure
Intensities are scaled so that the largest is 100.

Atomic structure:
```
Li4Ga12Ag3
1.0
-4.894 4.894 4.894
4.894 -4.894 4.894
4.894 4.894 -4.894
Li Ga Ag
4 12 3
Cartesian
2.447 2.447 -2.447 Li
2.447 -2.447 2.447 Li
-2.447 2.447 2.447 Li
2.447 2.447 2.447 Li
4.894 -1.440 2.251 Ga
3.454 2.642 0.000 Ga
6.334 2.642 0.000 Ga
2.251 4.894 -1.440 Ga
2.642 0.000 3.454 Ga
4.894 1.440 2.251 Ga
0.000 3.454 2.642 Ga
2.251 4.894 1.440 Ga
2.642 0.000 6.334 Ga
-1.440 2.251 4.894 Ga
1.440 2.251 4.894 Ga
0.000 6.334 2.642 Ga
4.894 0.000 0.000 Ag
0.000 4.894 0.000 Ag
0.000 0.000 4.894 Ag
```

The 10 most intense peaks (10° ≤ 2θ ≤ 90°), sorted by position:
d/Å, 2θ (°), I/Imax
6.921, 12.79, 100
4.894, 18.13, 15
2.826, 31.67, 25
2.616, 34.28, 38
2.447, 36.73, 18
2.307, 39.04, 16
2.189, 41.25, 37
1.998, 45.39, 33
1.920, 47.36, 22
1.308, 72.23, 17

[8]
Computed powder XRD pattern
Compound: LiGa3Ag6
Radiation: λ = 1.5418 Å (Cu Kα)
Structure: a PBE-relaxed structure
Intensities are scaled so that the largest is 100.

Atomic structure:
```
LiGa3Ag6
1.0
5.001 2.887 4.115
-5.001 2.887 4.115
0.000 -5.775 4.115
Li Ga Ag
2 6 12
Cartesian
0.000 0.000 0.000 Li
0.000 0.000 6.172 Li
-1.734 -1.751 5.156 Ga
-2.383 0.626 7.188 Ga
-0.649 2.377 5.156 Ga
0.649 -2.377 7.188 Ga
2.383 -0.627 5.156 Ga
1.734 1.751 7.188 Ga
-0.486 -1.589 2.411 Ag
-2.991 1.032 4.641 Ag
-1.133 1.215 2.411 Ag
0.602 -3.107 4.641 Ag
-2.389 -2.075 7.703 Ag
1.619 0.374 2.411 Ag
-1.619 -0.374 9.933 Ag
2.389 2.075 4.641 Ag
-0.602 3.107 7.703 Ag
1.133 -1.215 9.933 Ag
2.991 -1.032 7.703 Ag
0.486 1.589 9.933 Ag
```

The 10 most intense peaks (10° ≤ 2θ ≤ 90°), sorted by position:
d/Å, 2θ (°), I/Imax
5.007, 17.72, 19
3.178, 28.08, 13
2.374, 37.89, 22
2.359, 38.14, 100
2.246, 40.15, 43
2.239, 40.28, 28
2.145, 42.13, 18
2.136, 42.31, 14
1.392, 67.26, 11
1.314, 71.84, 13

[9]
Computed powder XRD pattern
Compound: Li2Ga2Ag
Radiation: λ = 1.5418 Å (Cu Kα)
Structure: a PBE-relaxed structure
Intensities are scaled so that the largest is 100.

Atomic structure:
```
Li2Ga2Ag
1.0
4.784 -2.224 0.000
4.784 2.224 0.000
-2.094 0.000 7.403
Li Ga Ag
4 4 2
Cartesian
1.128 1.116 6.303 Li
5.298 1.116 4.802 Li
2.175 -1.116 2.601 Li
6.345 -1.116 1.101 Li
2.632 1.108 4.058 Ga
3.793 1.108 7.047 Ga
3.680 -1.108 0.356 Ga
4.840 -1.108 3.346 Ga
4.260 1.116 1.851 Ag
3.213 -1.116 5.552 Ag
```

The 10 most intense peaks (10° ≤ 2θ ≤ 90°), sorted by position:
d/Å, 2θ (°), I/Imax
4.603, 19.28, 59
3.362, 26.51, 100
2.248, 40.11, 33
2.242, 40.22, 65
2.223, 40.59, 96
2.003, 45.27, 25
1.581, 58.36, 21
1.424, 65.57, 14
1.288, 73.52, 21
1.283, 73.85, 15

[10]
Computed powder XRD pattern
Compound: Li3Ga8Ag3
Radiation: λ = 1.5418 Å (Cu Kα)
Structure: a PBE-relaxed structure
Intensities are scaled so that the largest is 100.

Atomic structure:
```
Li3Ga8Ag3
1.0
-2.189 5.177 5.581
2.189 -5.177 5.581
2.189 5.177 -5.581
Li Ga Ag
3 8 3
Cartesian
0.000 0.000 0.000 Li
0.000 0.000 3.183 Li
0.000 0.000 7.979 Li
2.189 -1.259 1.517 Ga
2.189 -2.365 3.936 Ga
2.189 1.259 1.517 Ga
0.000 2.811 1.645 Ga
2.189 2.365 3.936 Ga
0.000 3.917 4.064 Ga
0.000 7.542 1.645 Ga
0.000 6.436 4.064 Ga
2.189 3.505 0.000 Ag
0.000 5.177 0.000 Ag
0.000 1.671 5.581 Ag
```

The 10 most intense peaks (10° ≤ 2θ ≤ 90°), sorted by position:
d/Å, 2θ (°), I/Imax
7.591, 11.66, 24
5.581, 15.88, 22
5.177, 17.13, 24
4.032, 22.05, 24
3.502, 25.44, 41
2.486, 36.12, 63
2.438, 36.87, 38
2.186, 41.30, 100
1.944, 46.72, 45
1.856, 49.08, 19

[11]
Computed powder XRD pattern
Compound: LiPm4Ga2Ag
Radiation: λ = 1.5418 Å (Cu Kα)
Structure: a PBE-relaxed structure
Intensities are scaled so that the largest is 100.

Atomic structure:
```
LiPm4Ga2Ag
1.0
2.617 1.511 8.582
-2.617 1.511 8.582
0.000 -3.021 8.582
Li Pm Ga Ag
1 4 2 1
Cartesian
0.000 0.000 0.000 Li
0.000 0.000 3.258 Pm
0.000 0.000 9.704 Pm
0.000 0.000 16.040 Pm
0.000 0.000 22.487 Pm
0.000 0.000 6.575 Ga
0.000 0.000 19.170 Ga
0.000 0.000 12.872 Ag
```

The 10 most intense peaks (10° ≤ 2θ ≤ 90°), sorted by position:
d/Å, 2θ (°), I/Imax
8.582, 10.31, 4
3.706, 24.02, 18
2.620, 34.22, 100
1.853, 49.18, 18
1.516, 61.12, 9
1.512, 61.33, 27
1.312, 71.98, 5
1.308, 72.21, 6
1.173, 82.20, 7
1.171, 82.36, 8

[12]
Computed powder XRD pattern
Compound: LiGa2AgS4
Radiation: λ = 1.5418 Å (Cu Kα)
Structure: a PBE-relaxed structure
Intensities are scaled so that the largest is 100.

Atomic structure:
```
LiGa2AgS4
1.0
5.321 0.000 0.000
0.000 5.321 0.000
0.000 0.000 11.938
Li Ga Ag S
2 4 2 8
Cartesian
0.000 0.000 0.000 Li
2.660 2.660 5.969 Li
0.000 2.660 2.985 Ga
0.000 2.660 8.954 Ga
2.660 0.000 2.985 Ga
2.660 0.000 8.954 Ga
0.000 0.000 5.969 Ag
2.660 2.660 0.000 Ag
1.276 1.276 10.308 S
1.276 4.044 1.630 S
1.384 1.384 4.339 S
1.384 3.937 7.599 S
3.937 1.384 7.599 S
3.937 3.937 4.339 S
4.044 1.276 1.630 S
4.044 4.044 10.308 S
```

The 10 most intense peaks (10° ≤ 2θ ≤ 90°), sorted by position:
d/Å, 2θ (°), I/Imax
4.860, 18.25, 29
3.183, 28.03, 100
2.334, 38.58, 12
1.986, 45.68, 38
1.881, 48.39, 16
1.759, 51.99, 14
1.619, 56.85, 23
1.285, 73.75, 9
1.169, 82.51, 6
1.105, 88.46, 11